# Pr2Nd2C2I5
Theoretical X-ray powder pattern, copper Kα. Input: a GGA-PBE-relaxed structure.

Main lines, by angle (2θ = 15–90°):
| Position (°2θ) | intensity |
| --- | --- |
| 26.39 | 228 |
| 27.03 | 664 |
| 28.94 | 233 |
| 29.76 | 1000 |
| 31.32 | 200 |
| 40.20 | 337 |
| 41.06 | 391 |
| 44.31 | 222 |
| 52.67 | 206 |
| 55.75 | 168 |

Atomic structure:
Cell lengths 10.411, 10.411, 8.850 Å; angles 103.94, 103.94, 22.65 degrees
Atoms (fractional coordinates):
Pr  0.000  0.000  0.192
Pr  0.000  0.000  0.808
Nd  0.349  0.349  0.908
Nd  0.651  0.651  0.092
C  0.465  0.465  0.979
C  0.535  0.535  0.021
I  0.162  0.162  0.369
I  0.167  0.167  0.826
I  0.500  0.500  0.500
I  0.833  0.833  0.174
I  0.838  0.838  0.631